# Ba3Fe2O4F3
Computed XRD peak list, Cu Kα X-rays. Input: a crystal structure in Alexandria, relaxed with PBE+U.
Kinematic intensities with the Lorentz-polarization factor, no thermal factor.

Principal peaks in the range 2θ from 15° to 90°, by intensity:
2θ 30.7, d 2.913, intensity 100.0
2θ 29.3, d 3.047, intensity 83.8
2θ 30.0, d 2.980, intensity 82.3
2θ 39.4, d 2.284, intensity 52.1
2θ 53.3, d 1.719, intensity 32.9
2θ 43.0, d 2.104, intensity 32.0

```
Ba3Fe2O4F3
1.0
-2.018 2.104 11.047
2.018 -2.104 11.047
2.018 2.104 -11.047
Ba Fe O F
3 2 4 3
direct
0.000 0.000 0.000 Ba
0.185 0.185 0.000 Ba
0.815 0.815 0.000 Ba
0.395 0.395 0.000 Fe
0.605 0.605 0.000 Fe
0.305 0.305 0.000 O
0.406 0.906 0.500 O
0.594 0.094 0.500 O
0.695 0.695 0.000 O
0.089 0.589 0.500 F
0.500 0.500 0.000 F
0.911 0.411 0.500 F
```